For Na2Tl3Pt2Pb, a structure optimized by DFT (GGA-PBE) gives the calculated X-ray powder pattern in this record (a wavelength of 1.5418 Å).

The 8 most intense peaks (2θ from 10° to 80°), by angle:
- (0 1 0), 2θ 16.0, I 75
- (0 1 -1), 2θ 19.3, I 53
- (-1 1 2), 2θ 31.0, I 85
- (-1 2 1), 2θ 33.7, I 48
- (1 1 -2), 2θ 38.8, I 100
- (0 2 2), 2θ 39.2, I 56
- (1 0 -3), 2θ 39.7, I 100
- (2 -1 0), 2θ 41.7, I 48

Cell lengths 4.335, 5.931, 8.251 Å; angles 90.05, 90.00, 111.31 degrees
Atoms (fractional coordinates):
Na 0.000 0.000 0.000
Na 0.136 0.269 0.507
Tl 0.426 0.853 0.708
Tl 0.431 0.863 0.301
Tl 0.710 0.416 0.795
Pt 0.284 0.565 0.005
Pt 0.850 0.700 0.500
Pb 0.714 0.424 0.203